K2RbPuO4: theoretical powder diffractogram (Cu Kα (weighted mean of Kα1 and Kα2)), based on a structure optimized by DFT (GGA-PBE).
Kinematic intensities with the Lorentz-polarization factor, no thermal factor.

Peak list (10 most intense, 2θ = 10–90°, in order of rising 2θ)
2θ (°)	intensity
14.25	100.0
15.37	23.1
28.74	84.4
29.35	47.9
31.02	30.6
34.90	53.4
47.37	38.1
50.94	15.2
58.50	15.6
59.53	22.3

Structural model:
a b c (Å): 7.727 7.727 7.727
angles (deg): 124.74 122.95 83.47
Fractional coordinates of all 16 atoms:
K 0.000 0.000 0.000
K 0.500 0.000 0.000
K 0.500 0.000 0.500
K 0.500 0.500 0.500
Rb 0.000 0.500 0.500
Rb 0.500 0.500 0.000
Pu 0.000 0.000 0.500
Pu 0.000 0.500 0.000
O 0.171 0.164 0.492
O 0.171 0.679 0.008
O 0.203 0.250 0.953
O 0.203 0.750 0.453
O 0.797 0.250 0.547
O 0.797 0.750 0.047
O 0.829 0.321 0.992
O 0.829 0.836 0.508